Record 1
# Tb5CoBi2
Theoretical powder diffraction line list, Cu Kα X-rays. Input: the PBE geometry in the Materials Project.
Intensities are scaled so that the largest is 100.

Most intense lines, 5 to 70 degrees two-theta, in order of rising 2θ:
two_theta, I_rel, index
30.80, 100, 4 0 1
31.51, 68, 3 2 1
33.27, 30, 2 2 2
34.16, 14, 1 0 3
35.23, 11, 4 2 0
36.45, 11, 2 0 3
40.49, 24, 0 4 0
41.91, 9, 2 2 3
43.16, 10, 5 2 1
51.77, 15, 4 4 1
55.61, 9, 2 4 3
60.68, 9, 7 2 2

Structure:
Cell lengths 12.427, 8.911, 8.057 Å; angles 90.00, 90.00, 90.00 degrees
Space group Pnma (No. 62)
Asymmetric unit:
Tb (0.002, 0.250, 0.044) (multiplicity 4)
Tb (0.062, 0.533, 0.324) (multiplicity 8)
Tb (0.190, 0.250, 0.621) (multiplicity 4)
Tb (0.198, 0.750, 0.653) (multiplicity 4)
Co (0.008, 0.250, 0.440) (multiplicity 4)
Bi (0.174, 0.007, 0.930) (multiplicity 8)



Record 2
# BaSrPrHfO6
Theoretical powder diffraction line list, Cu Kα X-rays. Input: the PBE geometry in the Materials Project.
Intensities are scaled so that the largest is 100.

Most intense lines, 5 to 70 degrees two-theta, in order of rising 2θ:
two_theta, I_rel, index
17.46, 3, 1 1 1
20.19, 8, 2 0 0
28.70, 100, 2 2 0
33.79, 1, 3 1 1
41.04, 30, 4 0 0
46.15, 4, 4 2 0
50.85, 42, 4 2 2
54.17, 1, 5 1 1
59.43, 19, 4 4 0
62.45, 1, 5 3 1
63.44, 2, 6 0 0
67.32, 19, 6 2 0

Structure:
Cell lengths 8.797, 8.797, 8.797 Å; angles 90.00, 90.00, 90.00 degrees
Space group F-43m (No. 216)
Asymmetric unit:
Ba (0.000, 0.000, 0.000) (multiplicity 4)
Sr (0.000, 0.000, 0.500) (multiplicity 4)
Pr (0.250, 0.250, 0.750) (multiplicity 4)
Hf (0.250, 0.250, 0.250) (multiplicity 4)
O (0.014, 0.250, 0.250) (multiplicity 24)



Record 3
# CeBr3O7
Theoretical powder diffraction line list, Cu Kα X-rays. Input: the PBE geometry in the Materials Project.
Intensities are scaled so that the largest is 100.

Most intense lines, 5 to 70 degrees two-theta, in order of rising 2θ:
two_theta, I_rel, index
15.27, 69, 0 1 1
19.61, 41, 1 -1 1
23.07, 100, 0 0 2
24.25, 34, 0 2 1
24.74, 35, 0 1 2
25.76, 50, 1 2 0
25.95, 98, 1 2 1
26.52, 69, 2 0 0
28.24, 85, 1 -2 1
30.49, 96, 1 2 -1
33.49, 45, -2 1 1
46.95, 36, 3 1 3

Structure:
Cell lengths 6.958, 7.991, 8.011 Å; angles 84.31, 75.14, 87.22 degrees
Space group P-1 (No. 2)
Asymmetric unit:
Ce (0.246, 0.227, 0.295) (multiplicity 2)
Br (0.147, 0.762, 0.280) (multiplicity 2)
Br (0.213, 0.597, 0.875) (multiplicity 2)
Br (0.281, 0.017, 0.751) (multiplicity 2)
O (0.052, 0.378, 0.130) (multiplicity 2)
O (0.066, 0.722, 0.504) (multiplicity 2)
O (0.092, 0.977, 0.232) (multiplicity 2)
O (0.316, 0.148, 0.557) (multiplicity 2)
O (0.409, 0.501, 0.507) (multiplicity 2)
O (0.473, 0.376, 0.179) (multiplicity 2)
O (0.484, 0.008, 0.210) (multiplicity 2)



Record 4
# Ti3H2O7
Theoretical powder diffraction line list, Cu Kα X-rays. Input: the PBE geometry in the Materials Project.
Intensities are scaled so that the largest is 100.

Most intense lines, 5 to 70 degrees two-theta, in order of rising 2θ:
two_theta, I_rel, index
5.30, 100, 0 0 1
10.61, 6, 0 0 2
11.48, 1, 0 1 1
15.21, 1, 0 1 2
24.84, 1, 1 0 1
24.97, 1, 1 0 -2
27.04, 1, 1 0 2
27.23, 1, 1 0 -3
28.57, 1, 0 3 0
29.85, 1, 0 3 1
48.20, 1, 2 0 -1
48.52, 1, 2 0 0

Structure:
Cell lengths 3.776, 9.472, 16.941 Å; angles 98.26, 95.90, 90.19 degrees
Space group P-1 (No. 2)
Asymmetric unit:
Ti (0.210, 0.328, 0.400) (multiplicity 2)
Ti (0.215, 0.020, 0.427) (multiplicity 2)
Ti (0.230, 0.710, 0.459) (multiplicity 2)
H (0.013, 0.305, 0.237) (multiplicity 2)
H (0.098, 0.466, 0.275) (multiplicity 2)
O (0.174, 0.141, 0.349) (multiplicity 2)
O (0.190, 0.369, 0.270) (multiplicity 2)
O (0.193, 0.835, 0.382) (multiplicity 2)
O (0.200, 0.539, 0.403) (multiplicity 2)
O (0.254, 0.260, 0.506) (multiplicity 2)
O (0.269, 0.953, 0.540) (multiplicity 2)
O (0.284, 0.659, 0.575) (multiplicity 2)



Record 5
# Ho3AlC
Theoretical powder diffraction line list, Cu Kα X-rays. Input: the PBE geometry in the Materials Project.
Intensities are scaled so that the largest is 100.

Most intense lines, 5 to 70 degrees two-theta, in order of rising 2θ:
two_theta, I_rel, index
18.27, 25, 1 0 0
25.96, 15, 1 1 0
31.93, 100, 1 1 1
37.04, 55, 2 0 0
41.60, 12, 2 1 0
45.78, 7, 2 1 1
53.38, 38, 2 2 0
56.90, 6, 3 0 0
60.29, 3, 3 1 0
63.56, 42, 3 1 1
66.75, 13, 2 2 2
69.86, 3, 3 2 0

Structure:
Cell lengths 4.855, 4.855, 4.855 Å; angles 90.00, 90.00, 90.00 degrees
Space group Pm-3m (No. 221)
Asymmetric unit:
Ho (0.000, 0.000, 0.500) (multiplicity 3)
Al (0.500, 0.500, 0.500) (multiplicity 1)
C (0.000, 0.000, 0.000) (multiplicity 1)



Record 6
# RbSF5
Theoretical powder diffraction line list, Cu Kα X-rays. Input: the PBE geometry in the Materials Project.
Intensities are scaled so that the largest is 100.

Most intense lines, 5 to 70 degrees two-theta, in order of rising 2θ:
two_theta, I_rel, index
22.48, 100, 2 1 0
24.25, 30, 1 0 2
28.19, 25, 1 1 2
35.18, 10, 4 0 0
35.35, 10, 1 0 3
35.53, 14, 2 2 1
37.04, 14, 4 0 1
37.79, 46, 1 2 2
40.84, 17, 3 2 1
50.33, 14, 5 0 2
55.97, 13, 1 2 4
57.35, 10, 6 1 1

Structure:
Cell lengths 10.205, 6.259, 7.865 Å; angles 90.00, 90.00, 90.00 degrees
Space group Pnma (No. 62)
Asymmetric unit:
Rb (0.155, 0.250, 0.158) (multiplicity 4)
S (0.097, 0.250, 0.659) (multiplicity 4)
F (0.069, 0.048, 0.816) (multiplicity 8)
F (0.150, 0.052, 0.514) (multiplicity 8)
F (0.247, 0.250, 0.728) (multiplicity 4)



Record 7
# Li2CuSiO4
Theoretical powder diffraction line list, Cu Kα X-rays. Input: the PBE geometry in the Materials Project.
Intensities are scaled so that the largest is 100.

Most intense lines, 5 to 70 degrees two-theta, in order of rising 2θ:
two_theta, I_rel, index
22.01, 100, 1 1 1
24.69, 15, 2 0 0
27.16, 15, 0 2 1
33.13, 41, 1 1 2
34.08, 46, 2 2 0
37.03, 14, 2 2 1
41.90, 14, 3 1 1
46.54, 10, 1 1 3
47.41, 16, 1 3 2
58.58, 8, 0 0 4
60.40, 28, 3 3 2
69.18, 8, 1 5 2

Structure:
Cell lengths 7.212, 7.694, 6.303 Å; angles 90.00, 90.00, 90.00 degrees
Space group C222_1 (No. 20)
Asymmetric unit:
Li (0.000, 0.184, 0.250) (multiplicity 4)
Li (0.190, 0.500, 0.500) (multiplicity 4)
Cu (0.000, 0.183, 0.750) (multiplicity 4)
Si (0.172, 0.500, 0.000) (multiplicity 4)
O (0.030, 0.331, 0.999) (multiplicity 8)
O (0.197, 0.001, 0.285) (multiplicity 8)



Record 8
# TiCr2S4
Theoretical powder diffraction line list, Cu Kα X-rays. Input: the PBE geometry in the Materials Project.
Intensities are scaled so that the largest is 100.

Most intense lines, 5 to 70 degrees two-theta, in order of rising 2θ:
two_theta, I_rel, index
15.78, 40, 2 0 0
16.48, 32, 0 0 1
27.93, 14, 4 0 -1
29.15, 13, 2 0 -2
29.73, 28, 1 1 -1
33.31, 40, 0 0 2
33.83, 78, 3 1 -1
43.73, 54, 2 0 2
44.14, 100, 5 1 -1
52.04, 50, 3 1 -3
53.12, 24, 0 2 0
58.04, 15, 5 1 1

Structure:
Cell lengths 12.792, 3.448, 6.128 Å; angles 90.00, 118.59, 90.00 degrees
Space group C2/m (No. 12)
Asymmetric unit:
Ti (0.000, 0.000, 0.000) (multiplicity 2)
Cr (0.242, 0.500, 0.755) (multiplicity 4)
S (0.128, 0.000, 0.803) (multiplicity 4)
S (0.134, 0.500, 0.297) (multiplicity 4)



Record 9
# Nd5AgSe8
Theoretical powder diffraction line list, Cu Kα X-rays. Input: the PBE geometry in the Materials Project.
Intensities are scaled so that the largest is 100.

Most intense lines, 5 to 70 degrees two-theta, in order of rising 2θ:
two_theta, I_rel, index
24.28, 14, 1 1 2
24.43, 23, 1 2 1
31.41, 48, 1 0 3
31.76, 100, 3 1 0
37.48, 34, 2 1 3
37.66, 29, 1 3 2
37.77, 30, 2 3 1
45.07, 12, 2 0 4
45.44, 11, 4 0 2
47.65, 17, 2 3 3
52.37, 11, 3 4 1
64.46, 21, 6 1 1

Structure:
Cell lengths 8.905, 8.905, 9.018 Å; angles 90.00, 90.00, 90.00 degrees
Space group I-4 (No. 82)
Asymmetric unit:
Nd (0.000, 0.000, 0.000) (multiplicity 2)
Nd (0.130, 0.752, 0.620) (multiplicity 8)
Ag (0.000, 0.500, 0.250) (multiplicity 2)
Se (0.071, 0.820, 0.296) (multiplicity 8)
Se (0.076, 0.681, 0.938) (multiplicity 8)



Record 10
# LiCu4P3O12
Theoretical powder diffraction line list, Cu Kα X-rays. Input: the PBE geometry in the Materials Project.
Intensities are scaled so that the largest is 100.

Most intense lines, 5 to 70 degrees two-theta, in order of rising 2θ:
two_theta, I_rel, index
12.31, 26, 0 1 0
12.94, 28, 0 1 -1
13.14, 37, 1 0 -1
19.22, 19, 0 1 1
19.68, 36, 1 1 0
26.96, 21, 2 -1 0
29.72, 100, 1 0 2
30.31, 30, 1 2 0
31.36, 21, 2 1 0
31.95, 29, 1 2 -3
32.20, 36, 2 1 -3
32.76, 32, 2 -2 0

Structure:
Cell lengths 7.400, 7.771, 9.557 Å; angles 109.53, 111.71, 92.46 degrees
Space group P-1 (No. 2)
Asymmetric unit:
Li (0.138, 0.356, 0.124) (multiplicity 2)
Cu (0.205, 0.893, 0.215) (multiplicity 2)
Cu (0.231, 0.972, 0.579) (multiplicity 2)
Cu (0.234, 0.605, 0.599) (multiplicity 2)
Cu (0.485, 0.709, 0.047) (multiplicity 2)
P (0.109, 0.364, 0.756) (multiplicity 2)
P (0.192, 0.952, 0.892) (multiplicity 2)
P (0.481, 0.252, 0.560) (multiplicity 2)
O (0.023, 0.629, 0.150) (multiplicity 2)
O (0.032, 0.062, 0.160) (multiplicity 2)
O (0.047, 0.493, 0.658) (multiplicity 2)
O (0.083, 0.163, 0.638) (multiplicity 2)
O (0.241, 0.865, 0.739) (multiplicity 2)
O (0.253, 0.827, 0.995) (multiplicity 2)
O (0.311, 0.154, 0.992) (multiplicity 2)
O (0.314, 0.076, 0.448) (multiplicity 2)
O (0.331, 0.443, 0.878) (multiplicity 2)
O (0.361, 0.756, 0.513) (multiplicity 2)
O (0.403, 0.430, 0.574) (multiplicity 2)
O (0.423, 0.760, 0.269) (multiplicity 2)



Record 11
# PmY
Theoretical powder diffraction line list, Cu Kα X-rays. Input: the PBE geometry in the Materials Project.
Intensities are scaled so that the largest is 100.

Most intense lines, 5 to 70 degrees two-theta, in order of rising 2θ:
two_theta, I_rel, index
15.21, 7, 0 0 1
28.11, 27, 1 0 0
30.69, 25, 0 0 2
32.11, 100, 1 0 1
42.10, 18, 1 0 2
49.74, 19, 1 1 0
55.47, 21, 1 0 3
58.11, 4, 2 0 0
59.59, 22, 1 1 2
60.44, 16, 2 0 1
63.92, 3, 0 0 4
67.16, 5, 2 0 2

Structure:
Cell lengths 3.6660, 3.6660, 5.8257 Å; angles 90.00, 90.00, 120.00 degrees
Space group P-6m2 (No. 187)
Asymmetric unit:
Pm (0.0000, 0.0000, 0.0000) (multiplicity 1)
Y (0.6667, 0.3333, 0.5000) (multiplicity 1)